Record 1
# Cd2Pd3Au4
Calculated powder XRD pattern, λ = 1.5418 Å (Cu Kα). Input: a cell relaxed with GGA-PBE.

Top 12 peaks for 2θ from 10° to 80°, by intensity:
2θ = 41.39°, 2.181 Å, I 100
2θ = 38.02°, 2.367 Å, I 98
2θ = 42.33°, 2.135 Å, I 79
2θ = 40.01°, 2.254 Å, I 62
2θ = 40.11°, 2.248 Å, I 52
2θ = 33.05°, 2.710 Å, I 39
2θ = 76.78°, 1.241 Å, I 34
2θ = 66.75°, 1.401 Å, I 32
2θ = 36.16°, 2.484 Å, I 27
2θ = 33.71°, 2.659 Å, I 27
2θ = 75.46°, 1.260 Å, I 24
2θ = 78.94°, 1.213 Å, I 24

Cell and atoms:
Cell: 8.218 8.218 6.814 Å, 98.10 98.10 20.87°
Element x y z (fractional)
Cd 0.155 0.155 0.059
Cd 0.845 0.845 0.941
Pd 0.392 0.392 0.618
Pd 0.500 0.500 0.000
Pd 0.608 0.608 0.382
Au 0.048 0.048 0.689
Au 0.221 0.221 0.673
Au 0.779 0.779 0.327
Au 0.952 0.952 0.311


Record 2
# CdPd7Au3
Calculated powder XRD pattern, λ = 1.5418 Å (Cu Kα). Input: a cell relaxed with GGA-PBE.

Top 12 peaks for 2θ from 10° to 80°, by intensity:
2θ = 38.94°, 2.313 Å, I 100
2θ = 39.22°, 2.297 Å, I 97
2θ = 45.63°, 1.988 Å, I 32
2θ = 45.29°, 2.002 Å, I 32
2θ = 45.40°, 1.998 Å, I 32
2θ = 66.32°, 1.409 Å, I 31
2θ = 24.75°, 3.598 Å, I 18
2θ = 79.26°, 1.209 Å, I 12
2θ = 79.89°, 1.201 Å, I 12
2θ = 79.70°, 1.203 Å, I 12
2θ = 79.81°, 1.202 Å, I 12
2θ = 33.26°, 2.694 Å, I 12

Cell and atoms:
Cell: 4.884 6.317 6.331 Å, 83.76 82.17 82.22°
Element x y z (fractional)
Cd 0.000 0.000 0.000
Pd 0.001 0.342 0.657
Pd 0.249 0.926 0.569
Pd 0.250 0.591 0.907
Pd 0.500 0.175 0.824
Pd 0.500 0.839 0.161
Pd 0.751 0.093 0.409
Pd 0.752 0.431 0.073
Au 0.247 0.268 0.242
Au 0.501 0.514 0.485
Au 0.753 0.758 0.733


Record 3
# CdPd5Au
Calculated powder XRD pattern, λ = 1.5418 Å (Cu Kα). Input: a cell relaxed with GGA-PBE.

Top 12 peaks for 2θ from 10° to 80°, by intensity:
2θ = 39.31°, 2.292 Å, I 100
2θ = 39.54°, 2.279 Å, I 98
2θ = 46.35°, 1.959 Å, I 62
2θ = 66.46°, 1.407 Å, I 41
2θ = 25.26°, 3.526 Å, I 36
2θ = 44.84°, 2.021 Å, I 34
2θ = 19.36°, 4.584 Å, I 30
2θ = 78.93°, 1.213 Å, I 13
2θ = 79.08°, 1.211 Å, I 13
2θ = 38.07°, 2.364 Å, I 11
2θ = 40.63°, 2.221 Å, I 11
2θ = 67.31°, 1.391 Å, I 10

Cell and atoms:
Cell: 5.564 8.086 5.518 Å, 90.00 90.00 90.00°
Element x y z (fractional)
Cd 0.000 0.000 0.000
Cd 0.500 0.500 0.000
Pd 0.000 0.500 0.000
Pd 0.250 0.250 0.254
Pd 0.250 0.250 0.746
Pd 0.250 0.750 0.254
Pd 0.250 0.750 0.746
Pd 0.500 0.000 0.000
Pd 0.750 0.250 0.254
Pd 0.750 0.250 0.746
Pd 0.750 0.750 0.254
Pd 0.750 0.750 0.746
Au 0.000 0.500 0.500
Au 0.500 0.000 0.500


Record 4
# Cd4Pd4Au
Calculated powder XRD pattern, λ = 1.5418 Å (Cu Kα). Input: a cell relaxed with GGA-PBE.

Top 12 peaks for 2θ from 10° to 80°, by intensity:
2θ = 37.75°, 2.383 Å, I 100
2θ = 43.87°, 2.064 Å, I 49
2θ = 76.55°, 1.245 Å, I 36
2θ = 63.78°, 1.459 Å, I 31
2θ = 31.49°, 2.841 Å, I 3
2θ = 14.30°, 6.192 Å, I 3
2θ = 23.84°, 3.733 Å, I 2
2θ = 28.84°, 3.096 Å, I 1
2θ = 53.35°, 1.717 Å, I 1
2θ = 20.28°, 4.379 Å, I 1
2θ = 61.27°, 1.513 Å, I 1
2θ = 32.33°, 2.769 Å, I 1

Cell and atoms:
Cell: 6.527 6.527 6.527 Å, 95.74 95.74 143.14°
Element x y z (fractional)
Cd 0.169 0.169 0.338
Cd 0.169 0.831 0.000
Cd 0.831 0.169 0.000
Cd 0.831 0.831 0.662
Pd 0.164 0.500 0.664
Pd 0.500 0.164 0.664
Pd 0.500 0.836 0.336
Pd 0.836 0.500 0.336
Au 0.500 0.500 0.000


Record 5
# Cd5PdAu2
Calculated powder XRD pattern, λ = 1.5418 Å (Cu Kα). Input: a cell relaxed with GGA-PBE.

Top 12 peaks for 2θ from 10° to 80°, by intensity:
2θ = 38.86°, 2.317 Å, I 100
2θ = 36.52°, 2.460 Å, I 56
2θ = 40.59°, 2.222 Å, I 38
2θ = 54.39°, 1.687 Å, I 17
2θ = 70.37°, 1.338 Å, I 17
2θ = 68.84°, 1.364 Å, I 17
2θ = 32.75°, 2.735 Å, I 14
2θ = 71.54°, 1.319 Å, I 14
2θ = 22.15°, 4.014 Å, I 14
2θ = 57.45°, 1.604 Å, I 14
2θ = 22.66°, 3.924 Å, I 13
2θ = 26.42°, 3.374 Å, I 13

Cell and atoms:
Cell: 4.635 4.635 18.682 Å, 90.00 90.00 120.00°
Element x y z (fractional)
Cd 0.000 0.000 0.164
Cd 0.000 0.000 0.336
Cd 0.000 0.000 0.664
Cd 0.000 0.000 0.836
Cd 0.333 0.667 0.049
Cd 0.333 0.667 0.250
Cd 0.333 0.667 0.451
Cd 0.667 0.333 0.549
Cd 0.667 0.333 0.750
Cd 0.667 0.333 0.951
Pd 0.333 0.667 0.750
Pd 0.667 0.333 0.250
Au 0.333 0.667 0.602
Au 0.333 0.667 0.898
Au 0.667 0.333 0.102
Au 0.667 0.333 0.398


Record 6
# Cd4Pd5Au2
Calculated powder XRD pattern, λ = 1.5418 Å (Cu Kα). Input: a cell relaxed with GGA-PBE.

Top 12 peaks for 2θ from 10° to 80°, by intensity:
2θ = 35.27°, 2.545 Å, I 100
2θ = 35.14°, 2.554 Å, I 84
2θ = 41.84°, 2.159 Å, I 71
2θ = 24.90°, 3.576 Å, I 63
2θ = 51.12°, 1.787 Å, I 60
2θ = 40.07°, 2.250 Å, I 58
2θ = 33.98°, 2.638 Å, I 50
2θ = 37.73°, 2.384 Å, I 44
2θ = 43.45°, 2.083 Å, I 41
2θ = 51.65°, 1.770 Å, I 37
2θ = 29.23°, 3.055 Å, I 26
2θ = 49.78°, 1.832 Å, I 24

Cell and atoms:
Cell: 10.962 10.962 10.962 Å, 165.27 139.22 43.59°
Element x y z (fractional)
Cd 0.129 0.129 0.000
Cd 0.185 0.500 0.685
Cd 0.815 0.500 0.315
Cd 0.871 0.871 0.000
Pd 0.202 0.380 0.822
Pd 0.441 0.620 0.822
Pd 0.500 0.000 0.500
Pd 0.559 0.380 0.178
Pd 0.798 0.620 0.178
Au 0.264 0.264 0.000
Au 0.736 0.736 0.000


Record 7
# CdPdAu5
Calculated powder XRD pattern, λ = 1.5418 Å (Cu Kα). Input: a cell relaxed with GGA-PBE.

Top 12 peaks for 2θ from 10° to 80°, by intensity:
2θ = 37.74°, 2.383 Å, I 100
2θ = 38.51°, 2.338 Å, I 95
2θ = 44.93°, 2.017 Å, I 61
2θ = 63.99°, 1.455 Å, I 43
2θ = 43.07°, 2.100 Å, I 35
2θ = 77.59°, 1.230 Å, I 25
2θ = 79.04°, 1.211 Å, I 24
2θ = 21.15°, 4.201 Å, I 19
2θ = 18.98°, 4.675 Å, I 15
2θ = 75.90°, 1.254 Å, I 14
2θ = 75.41°, 1.260 Å, I 14
2θ = 66.46°, 1.407 Å, I 11

Cell and atoms:
Cell: 5.627 8.401 5.789 Å, 90.00 90.00 90.00°
Element x y z (fractional)
Cd 0.000 0.000 0.000
Cd 0.500 0.500 0.000
Pd 0.000 0.500 0.500
Pd 0.500 0.000 0.500
Au 0.000 0.000 0.500
Au 0.250 0.250 0.246
Au 0.250 0.250 0.754
Au 0.250 0.750 0.246
Au 0.250 0.750 0.754
Au 0.500 0.500 0.500
Au 0.750 0.250 0.246
Au 0.750 0.250 0.754
Au 0.750 0.750 0.246
Au 0.750 0.750 0.754


Record 8
# Cd3PdAu5
Calculated powder XRD pattern, λ = 1.5418 Å (Cu Kα). Input: a cell relaxed with GGA-PBE.

Top 12 peaks for 2θ from 10° to 80°, by intensity:
2θ = 39.86°, 2.262 Å, I 100
2θ = 30.18°, 2.961 Å, I 79
2θ = 34.64°, 2.589 Å, I 72
2θ = 33.85°, 2.648 Å, I 35
2θ = 45.44°, 1.996 Å, I 34
2θ = 51.73°, 1.767 Å, I 26
2θ = 39.70°, 2.270 Å, I 24
2θ = 60.23°, 1.537 Å, I 16
2θ = 66.74°, 1.402 Å, I 14
2θ = 78.00°, 1.225 Å, I 14
2θ = 57.97°, 1.591 Å, I 14
2θ = 25.18°, 3.537 Å, I 13

Cell and atoms:
Cell: 7.998 7.998 7.998 Å, 116.85 116.85 95.54°
Element x y z (fractional)
Cd 0.113 0.613 0.725
Cd 0.250 0.250 0.000
Cd 0.387 0.113 0.500
Cd 0.613 0.887 0.500
Cd 0.750 0.750 0.000
Cd 0.887 0.387 0.275
Pd 0.250 0.750 0.500
Pd 0.750 0.250 0.500
Au 0.000 0.000 0.000
Au 0.063 0.167 0.500
Au 0.167 0.667 0.104
Au 0.333 0.437 0.500
Au 0.437 0.937 0.104
Au 0.500 0.500 0.000
Au 0.563 0.063 0.896
Au 0.667 0.563 0.500
Au 0.833 0.333 0.896
Au 0.937 0.833 0.500


Question: What is the formula in the seventh record?
Answer: CdPdAu5


Question: What is the formula in the fifth record?
Answer: Cd5PdAu2


Copy entry 4 word for word.
# Cd4Pd4Au
Calculated powder XRD pattern, λ = 1.5418 Å (Cu Kα). Input: a cell relaxed with GGA-PBE.

Top 12 peaks for 2θ from 10° to 80°, by intensity:
2θ = 37.75°, 2.383 Å, I 100
2θ = 43.87°, 2.064 Å, I 49
2θ = 76.55°, 1.245 Å, I 36
2θ = 63.78°, 1.459 Å, I 31
2θ = 31.49°, 2.841 Å, I 3
2θ = 14.30°, 6.192 Å, I 3
2θ = 23.84°, 3.733 Å, I 2
2θ = 28.84°, 3.096 Å, I 1
2θ = 53.35°, 1.717 Å, I 1
2θ = 20.28°, 4.379 Å, I 1
2θ = 61.27°, 1.513 Å, I 1
2θ = 32.33°, 2.769 Å, I 1

Cell and atoms:
Cell: 6.527 6.527 6.527 Å, 95.74 95.74 143.14°
Element x y z (fractional)
Cd 0.169 0.169 0.338
Cd 0.169 0.831 0.000
Cd 0.831 0.169 0.000
Cd 0.831 0.831 0.662
Pd 0.164 0.500 0.664
Pd 0.500 0.164 0.664
Pd 0.500 0.836 0.336
Pd 0.836 0.500 0.336
Au 0.500 0.500 0.000


Question: Which formula does entry 4 have?
Answer: Cd4Pd4Au